# 1
Structure and computed powder diffractogram of Al2ZnTe4 (a cell relaxed with GGA-PBE; Cu Kα (weighted mean of Kα1 and Kα2)).
Lines closer than 0.1° are merged.

Atomic structure:
```
data_Al2ZnTe4
_symmetry_space_group_name_H-M 'I -4'
_symmetry_Int_Tables_number 82
_cell_length_a 6.0919
_cell_length_b 6.0919
_cell_length_c 11.9765
_cell_angle_alpha 90.00
_cell_angle_beta 90.00
_cell_angle_gamma 90.00
loop_
_symmetry_equiv_pos_as_xyz
'x,y,z'
'y,-x,-z'
'-x,-y,z'
'-y,x,-z'
'x+1/2,y+1/2,z+1/2'
'y+1/2,-x+1/2,-z+1/2'
'-x+1/2,-y+1/2,z+1/2'
'-y+1/2,x+1/2,-z+1/2'
loop_
_atom_site_label
_atom_site_type_symbol
_atom_site_fract_x
_atom_site_fract_y
_atom_site_fract_z
Al1 Al 0.0000 0.0000 0.0000
Al2 Al 0.0000 0.5000 0.2500
Zn1 Zn 0.0000 0.0000 0.5000
Te1 Te 0.2351 0.2596 0.8672
```

The 10 most intense peaks (2θ = 10–80°), in order of falling intensity:
hkl 1 1 2, 2θ = 25.47°, intensity 100; hkl 2 0 4, 2θ = 42.33°, intensity 36; hkl 3 1 2, 2θ = 49.72°, intensity 30; hkl 2 2 0, 2θ = 41.95°, intensity 19; hkl 2 0 0, 2θ = 29.32°, intensity 18; hkl 1 1 6, 2θ = 50.39°, intensity 14; hkl 1 3 6, 2θ = 67.58°, intensity 12; hkl 4 2 4, 2θ = 76.89°, intensity 11; hkl 0 0 4, 2θ = 29.84°, intensity 8; hkl 2 2 4, 2θ = 52.33°, intensity 7

***

# 2
Structure and computed powder diffractogram of Th4Al (a cell relaxed with GGA-PBE; Cu Kα (weighted mean of Kα1 and Kα2)).
Lines closer than 0.1° are merged.

Atomic structure:
a b c (Å): 11.3476 11.3476 11.3476
angles (deg): 90.00 90.00 90.00
Space group Fd-3m (No. 227, origin choice 2)
Symmetry-distinct sites (fractional):
Th  0.0202  0.0202  0.2298
Al  0.1250  0.1250  0.6250

The 10 most intense peaks (2θ = 10–80°), in order of falling intensity:
hkl 2 2 2, 2θ = 27.22°, intensity 100; hkl 4 0 0, 2θ = 31.54°, intensity 45; hkl 3 3 3, 2θ = 41.34°, intensity 31; hkl 4 4 0, 2θ = 45.20°, intensity 30; hkl 6 2 2, 2θ = 53.57°, intensity 27; hkl 3 3 1, 2θ = 34.45°, intensity 18; hkl 5 5 1, 2θ = 58.05°, intensity 17; hkl 1 1 1, 2θ = 13.52°, intensity 16; hkl 7 3 1, 2θ = 62.91°, intensity 14; hkl 7 3 3, 2θ = 67.57°, intensity 12